Entry 1:
Diffraction record for Y3TlF10. The powder diffraction line list is calculated, not measured: it uses a DFT-relaxed cell (PBE, the Materials Project) and CuKα.
Intensities are scaled so that the largest is 100.

Atomic structure:
a b c (Å): 8.3306 8.3306 13.5699
angles (deg): 90.00 90.00 120.00
Space group P6_3mc (No. 186)
Inequivalent atoms, fractional coordinates:
Y1 0.0113 0.5057 0.0000
Y2 0.1741 0.3482 0.2423
Tl1 0.0000 0.0000 0.0076
Tl2 0.3333 0.6667 0.7471
F1 0.0036 0.3403 0.3701
F2 0.0435 0.5217 0.1753
F3 0.1091 0.2181 0.7072
F4 0.1852 0.3705 0.0652
F5 0.2231 0.4462 0.5358
F6 0.3333 0.6667 0.2899
F7 0.3333 0.6667 0.9562

Main lines, by angle (5° ≤ 2θ ≤ 70°):
2theta, d_spacing, I/Imax, hkl
25.55, 3.486, 44, 2 0 1
26.27, 3.392, 37, 0 0 4
28.01, 3.185, 100, 2 0 2
31.73, 2.820, 19, 2 0 3
43.45, 2.083, 37, 2 2 0
47.44, 1.917, 37, 2 0 6
51.49, 1.775, 43, 2 2 4
52.50, 1.743, 23, 4 0 2

=====

Entry 2:
Diffraction record for ZrTlF5. The powder diffraction line list is calculated, not measured: it uses a DFT-relaxed cell (PBE, the Materials Project) and CuKα.
Intensities are scaled so that the largest is 100.

Atomic structure:
a b c (Å): 7.629 8.091 8.088
angles (deg): 90.00 116.67 90.00
Space group P2_1/c (No. 14)
Inequivalent atoms, fractional coordinates:
Zr1 0.008 0.162 0.340
Tl1 0.430 0.530 0.705
F1 0.005 0.064 0.791
F2 0.013 0.210 0.066
F3 0.176 0.505 0.072
F4 0.281 0.709 0.338
F5 0.297 0.206 0.410

Main lines, by angle (5° ≤ 2θ ≤ 70°):
2theta, d_spacing, I/Imax, hkl
22.03, 4.036, 61, 1 0 -2
24.24, 3.672, 64, 1 1 1
24.65, 3.612, 73, 0 0 2
25.61, 3.479, 100, 1 2 0
25.78, 3.456, 90, 1 2 -1
26.14, 3.409, 56, 2 0 0
31.34, 2.854, 83, 1 2 -2
46.64, 1.948, 60, 0 4 1

=====

Question: Number 2 is which compound?
Answer: ZrTlF5

=====

Please write out number 2 again, unchanged.
Diffraction record for ZrTlF5. The powder diffraction line list is calculated, not measured: it uses a DFT-relaxed cell (PBE, the Materials Project) and CuKα.
Intensities are scaled so that the largest is 100.

Atomic structure:
a b c (Å): 7.629 8.091 8.088
angles (deg): 90.00 116.67 90.00
Space group P2_1/c (No. 14)
Inequivalent atoms, fractional coordinates:
Zr1 0.008 0.162 0.340
Tl1 0.430 0.530 0.705
F1 0.005 0.064 0.791
F2 0.013 0.210 0.066
F3 0.176 0.505 0.072
F4 0.281 0.709 0.338
F5 0.297 0.206 0.410

Main lines, by angle (5° ≤ 2θ ≤ 70°):
2theta, d_spacing, I/Imax, hkl
22.03, 4.036, 61, 1 0 -2
24.24, 3.672, 64, 1 1 1
24.65, 3.612, 73, 0 0 2
25.61, 3.479, 100, 1 2 0
25.78, 3.456, 90, 1 2 -1
26.14, 3.409, 56, 2 0 0
31.34, 2.854, 83, 1 2 -2
46.64, 1.948, 60, 0 4 1